For CaMnP2O7, a DFT-relaxed cell (GGA+U, the Materials Project) gives the theoretical XRD peak list in this record (Cu Kα X-rays).
Intensities are scaled so that the largest is 100.

Cell: 7.461 8.978 9.344 Å, 90.00 115.57 90.00°
Space group P2_1/c (No. 14)
One atom of each set of equivalent atoms:
Ca (0.213, 0.053, 0.348)
Mn (0.272, 0.069, 0.886)
P (0.035, 0.739, 0.970)
P (0.442, 0.728, 0.259)
O (0.024, 0.110, 0.650)
O (0.068, 0.614, 0.401)
O (0.107, 0.245, 0.952)
O (0.243, 0.676, 0.104)
O (0.399, 0.239, 0.304)
O (0.405, 0.627, 0.824)
O (0.480, 0.595, 0.374)

Principal peaks in the range 10 to 80 degrees two-theta, by intensity:
two_theta  d [Å]  Rel. int.  hkl
27.9  3.201  100  1 2 -2
29.5  3.031  77  1 0 2
27.7  3.225  58  2 1 -2
33.3  2.692  32  2 2 0
39.8  2.262  28  2 3 -2
54.5  1.683  22  3 3 -4

For CaMn3P4O14, a DFT-relaxed cell (GGA+U, the Materials Project) gives the theoretical XRD peak list in this record (Cu Kα X-rays).
Intensities are scaled so that the largest is 100.

Cell: 7.679 7.889 9.701 Å, 90.00 111.66 90.00°
Space group P2_1/c (No. 14)
One atom of each set of equivalent atoms:
Ca (0.000, 0.000, 0.000)
Mn (0.308, 0.123, 0.470)
Mn (0.500, 0.000, 0.000)
P (0.101, 0.065, 0.706)
P (0.374, 0.703, 0.190)
O (0.095, 0.523, 0.800)
O (0.120, 0.192, 0.594)
O (0.177, 0.616, 0.175)
O (0.223, 0.115, 0.869)
O (0.318, 0.628, 0.608)
O (0.466, 0.583, 0.111)
O (0.486, 0.713, 0.357)

Principal peaks in the range 10 to 80 degrees two-theta, by intensity:
two_theta  d [Å]  Rel. int.  hkl
29.3  3.047  100  1 2 1
27.9  3.196  58  2 1 -2
35.6  2.524  44  3 0 -2
29.7  3.013  34  1 2 -2
32.3  2.775  32  2 1 1
33.1  2.707  27  2 1 -3